Entry 1:
Structure and simulated powder X-ray diffraction pattern of Rb2CoO3 (a cell relaxed with GGA+U; Cu Kα, 1.54184 Å).
Peak positions follow from Bragg's law for the DFT cell and can differ from measured ones.

Principal peaks in the range 5° ≤ 2θ ≤ 70°, low angle first:
Position (°2θ), d/Å, intensity, hkl
28.6, 3.126, 25, 3 1 0
29.3, 3.050, 58, 0 2 1
33.1, 2.705, 100, 0 0 2
37.5, 2.396, 15, 1 3 0
44.3, 2.044, 25, 3 1 2
45.2, 2.005, 11, 3 3 0
56.9, 1.619, 9, 0 2 3
59.2, 1.561, 13, 3 1 3
61.8, 1.501, 13, 6 2 1
64.1, 1.454, 10, 6 0 2

Atomic structure:
a = 10.3486 Å, b = 7.3900 Å, c = 5.4032 Å
α = 90.00°, β = 90.00°, γ = 90.00°
Space group Cmc2_1 (No. 36)
One atom of each set of equivalent atoms:
Rb 0.1609 0.1558 0.0000 (multiplicity 8)
Co 0.0000 0.4264 0.4980 (multiplicity 4)
O 0.0000 0.1832 0.4962 (multiplicity 4)
O 0.1171 0.5001 0.2483 (multiplicity 8)



Entry 2:
Structure and simulated powder X-ray diffraction pattern of MgFe6Sb10I6O18 (a cell relaxed with GGA+U; Cu Kα, 1.54184 Å).
Peak positions follow from Bragg's law for the DFT cell and can differ from measured ones.

Principal peaks in the range 5° ≤ 2θ ≤ 70°, low angle first:
Position (°2θ), d/Å, intensity, hkl
10.2, 8.702, 53, 0 1 0
20.4, 4.351, 66, 0 2 0
24.3, 3.666, 49, 2 0 -1
26.9, 3.311, 100, 1 1 -3
28.2, 3.161, 95, 2 1 3
28.6, 3.126, 50, -2 1 1
29.1, 3.073, 61, 1 3 1
32.8, 2.729, 41, 0 2 4
34.3, 2.616, 62, 3 2 0
35.5, 2.526, 44, -2 2 1

Atomic structure:
a = 8.3103 Å, b = 9.2558 Å, c = 12.7431 Å
α = 79.89°, β = 82.37°, γ = 71.78°
Space group P1 (No. 1)
One atom of each set of equivalent atoms:
Mg 0.0000 0.0000 0.0000 (multiplicity 1)
Fe 0.0444 0.9263 0.7924 (multiplicity 1)
Fe 0.1561 0.8003 0.1816 (multiplicity 1)
Fe 0.3841 0.9987 0.2707 (multiplicity 1)
Fe 0.4491 0.9045 0.5400 (multiplicity 1)
Fe 0.6765 0.9627 0.0535 (multiplicity 1)
Fe 0.7799 0.9000 0.3049 (multiplicity 1)
Sb 0.2126 0.7021 0.4456 (multiplicity 1)
Sb 0.2888 0.1269 0.9164 (multiplicity 1)
Sb 0.4956 0.7406 0.9406 (multiplicity 1)
Sb 0.5532 0.2230 0.3988 (multiplicity 1)
Sb 0.5633 0.6527 0.2070 (multiplicity 1)
Sb 0.6356 0.0920 0.6859 (multiplicity 1)
Sb 0.8321 0.7212 0.6750 (multiplicity 1)
Sb 0.9315 0.6294 0.9572 (multiplicity 1)
Sb 0.9591 0.1855 0.1797 (multiplicity 1)
Sb 0.9958 0.0663 0.4451 (multiplicity 1)
I 0.0184 0.5647 0.2525 (multiplicity 1)
I 0.2403 0.2134 0.5914 (multiplicity 1)
I 0.2396 0.6222 0.7609 (multiplicity 1)
I 0.4907 0.2441 0.1230 (multiplicity 1)
I 0.6146 0.5918 0.4961 (multiplicity 1)
I 0.8530 0.2639 0.8516 (multiplicity 1)
O 0.1304 0.1018 0.2913 (multiplicity 1)
O 0.1620 0.0884 0.0612 (multiplicity 1)
O 0.2052 0.9580 0.8839 (multiplicity 1)
O 0.2359 0.8898 0.4914 (multiplicity 1)
O 0.3215 0.7684 0.2975 (multiplicity 1)
O 0.3797 0.7280 0.0976 (multiplicity 1)
O 0.5083 0.9560 0.9415 (multiplicity 1)
O 0.5392 0.0119 0.3890 (multiplicity 1)
O 0.5977 0.8882 0.6577 (multiplicity 1)
O 0.6074 0.8520 0.2138 (multiplicity 1)
O 0.6870 0.1493 0.5290 (multiplicity 1)
O 0.6947 0.6654 0.0417 (multiplicity 1)
O 0.7781 0.6841 0.8356 (multiplicity 1)
O 0.7982 0.1502 0.3270 (multiplicity 1)
O 0.8762 0.9342 0.6913 (multiplicity 1)
O 0.9186 0.8476 0.9532 (multiplicity 1)
O 0.9341 0.9721 0.1664 (multiplicity 1)
O 0.9754 0.8632 0.4094 (multiplicity 1)



Entry 3:
Structure and simulated powder X-ray diffraction pattern of Ti5Fe11O24 (a cell relaxed with GGA+U; Cu Kα, 1.54184 Å).
Peak positions follow from Bragg's law for the DFT cell and can differ from measured ones.

Principal peaks in the range 5° ≤ 2θ ≤ 70°, low angle first:
Position (°2θ), d/Å, intensity, hkl
32.2, 2.780, 54, 1 -1 1
32.5, 2.754, 100, 1 2 0
34.7, 2.585, 76, 2 1 1
34.8, 2.576, 37, 1 0 6
47.9, 1.899, 21, 2 0 -4
48.2, 1.890, 21, 0 2 -6
48.7, 1.871, 19, 2 2 6
52.6, 1.741, 27, 1 -2 4
53.2, 1.723, 26, 2 3 3
60.7, 1.527, 18, 2 -1 7

Atomic structure:
a = 5.1638 Å, b = 5.5282 Å, c = 17.2129 Å
α = 87.99°, β = 81.90°, γ = 62.87°
Space group P1 (No. 1)
One atom of each set of equivalent atoms:
Ti 0.0000 0.0000 0.0000 (multiplicity 1)
Ti 0.0765 0.0615 0.8240 (multiplicity 1)
Ti 0.2506 0.8688 0.6218 (multiplicity 1)
Ti 0.4977 0.7589 0.2530 (multiplicity 1)
Ti 0.7425 0.1320 0.3834 (multiplicity 1)
Fe 0.0038 0.5063 0.5025 (multiplicity 1)
Fe 0.0688 0.5479 0.3230 (multiplicity 1)
Fe 0.2561 0.3815 0.1245 (multiplicity 1)
Fe 0.3200 0.4247 0.9473 (multiplicity 1)
Fe 0.3280 0.9306 0.4480 (multiplicity 1)
Fe 0.5103 0.2562 0.7505 (multiplicity 1)
Fe 0.5634 0.3060 0.5767 (multiplicity 1)
Fe 0.5678 0.8024 0.0752 (multiplicity 1)
Fe 0.7535 0.6368 0.8786 (multiplicity 1)
Fe 0.8107 0.1873 0.2010 (multiplicity 1)
Fe 0.8223 0.6808 0.7017 (multiplicity 1)
O 0.2249 0.3266 0.8453 (multiplicity 1)
O 0.2263 0.8591 0.3427 (multiplicity 1)
O 0.2389 0.6784 0.5303 (multiplicity 1)
O 0.2457 0.1537 0.0305 (multiplicity 1)
O 0.2561 0.5227 0.6811 (multiplicity 1)
O 0.2638 0.0130 0.1825 (multiplicity 1)
O 0.2862 0.8171 0.8978 (multiplicity 1)
O 0.2878 0.1393 0.5585 (multiplicity 1)
O 0.3152 0.6418 0.0521 (multiplicity 1)
O 0.3398 0.3030 0.4045 (multiplicity 1)
O 0.3539 0.9626 0.7259 (multiplicity 1)
O 0.3683 0.4713 0.2199 (multiplicity 1)
O 0.7105 0.6075 0.6017 (multiplicity 1)
O 0.7206 0.0956 0.0986 (multiplicity 1)
O 0.7360 0.9232 0.2727 (multiplicity 1)
O 0.7620 0.4195 0.7750 (multiplicity 1)
O 0.7870 0.2486 0.9297 (multiplicity 1)
O 0.7898 0.7752 0.4262 (multiplicity 1)
O 0.7923 0.3788 0.3034 (multiplicity 1)
O 0.8195 0.5444 0.1522 (multiplicity 1)
O 0.8240 0.9113 0.8007 (multiplicity 1)
O 0.8388 0.0292 0.6524 (multiplicity 1)
O 0.8466 0.2396 0.4693 (multiplicity 1)
O 0.8504 0.7330 0.9812 (multiplicity 1)



Entry 4:
Structure and simulated powder X-ray diffraction pattern of MgMn2O4 (a cell relaxed with GGA+U; Cu Kα, 1.54184 Å).
Peak positions follow from Bragg's law for the DFT cell and can differ from measured ones.

Principal peaks in the range 5° ≤ 2θ ≤ 70°, low angle first:
Position (°2θ), d/Å, intensity, hkl
18.0, 4.934, 21, 2 0 -1
29.5, 3.025, 27, 2 0 -4
29.6, 3.022, 16, 3 1 0
34.8, 2.581, 100, 2 0 5
34.9, 2.574, 11, 4 0 1
42.2, 2.141, 16, 2 2 -4
55.8, 1.648, 29, 4 2 -5
55.9, 1.644, 10, 4 0 7
61.3, 1.513, 27, 2 2 8
61.4, 1.511, 17, 6 2 0

Atomic structure:
a = 10.4552 Å, b = 6.0632 Å, c = 14.8204 Å
α = 90.00°, β = 90.02°, γ = 90.00°
Space group Cm (No. 8)
One atom of each set of equivalent atoms:
Mg 0.0000 0.0000 0.0000 (multiplicity 2)
Mg 0.0008 0.5000 0.4993 (multiplicity 2)
Mg 0.0095 0.5000 0.8751 (multiplicity 2)
Mg 0.1666 0.5000 0.3330 (multiplicity 2)
Mg 0.3324 0.5000 0.1666 (multiplicity 2)
Mg 0.3338 0.0000 0.6666 (multiplicity 2)
Mn 0.0814 0.2515 0.6662 (multiplicity 4)
Mn 0.1594 0.0000 0.4548 (multiplicity 2)
Mn 0.1668 0.0000 0.8342 (multiplicity 2)
Mn 0.1737 0.0000 0.2123 (multiplicity 2)
Mn 0.2516 0.2497 0.0001 (multiplicity 4)
Mn 0.3270 0.5000 0.7910 (multiplicity 2)
Mn 0.3411 0.5000 0.5420 (multiplicity 2)
Mn 0.4167 0.2497 0.3329 (multiplicity 4)
Mn 0.4927 0.0000 0.1234 (multiplicity 2)
O 0.0072 0.5000 0.7390 (multiplicity 2)
O 0.0127 0.0000 0.7475 (multiplicity 2)
O 0.0674 0.2690 0.4088 (multiplicity 4)
O 0.1001 0.2255 0.9182 (multiplicity 4)
O 0.1581 0.0000 0.5965 (multiplicity 2)
O 0.1580 0.5000 0.5917 (multiplicity 2)
O 0.1741 0.0000 0.0707 (multiplicity 2)
O 0.1757 0.5000 0.0737 (multiplicity 2)
O 0.2323 0.2229 0.7484 (multiplicity 4)
O 0.2659 0.2695 0.2572 (multiplicity 4)
O 0.3240 0.0000 0.9192 (multiplicity 2)
O 0.3259 0.5000 0.9288 (multiplicity 2)
O 0.3416 0.5000 0.4040 (multiplicity 2)
O 0.3460 0.0000 0.4072 (multiplicity 2)
O 0.4017 0.2679 0.0743 (multiplicity 4)
O 0.4311 0.2317 0.5921 (multiplicity 4)
O 0.4871 0.5000 0.2586 (multiplicity 2)
O 0.4919 0.0000 0.2616 (multiplicity 2)



Entry 5:
Structure and simulated powder X-ray diffraction pattern of MgBi4W2O12 (a cell relaxed with GGA+U; Cu Kα, 1.54184 Å).
Peak positions follow from Bragg's law for the DFT cell and can differ from measured ones.

Principal peaks in the range 5° ≤ 2θ ≤ 70°, low angle first:
Position (°2θ), d/Å, intensity, hkl
18.0, 4.927, 49, 1 0 -1
26.0, 3.423, 58, -1 1 1
26.3, 3.389, 56, 1 1 -2
27.5, 3.245, 100, 1 1 1
27.7, 3.224, 95, 1 -1 2
29.0, 3.076, 38, 0 0 3
32.0, 2.800, 58, 0 2 -1
32.1, 2.788, 33, -1 1 2
32.3, 2.769, 37, 2 0 0
46.1, 1.969, 33, 2 2 -1

Atomic structure:
a = 5.5567 Å, b = 5.6011 Å, c = 9.6383 Å
α = 106.14°, β = 94.37°, γ = 90.17°
Space group P1 (No. 1)
One atom of each set of equivalent atoms:
Mg 0.0000 0.0000 0.0000 (multiplicity 1)
Bi 0.1256 0.9048 0.6942 (multiplicity 1)
Bi 0.4617 0.4634 0.8508 (multiplicity 1)
Bi 0.5301 0.1207 0.1272 (multiplicity 1)
Bi 0.9467 0.6064 0.1461 (multiplicity 1)
W 0.0460 0.1892 0.4417 (multiplicity 1)
W 0.5429 0.6800 0.4490 (multiplicity 1)
O 0.1457 0.2658 0.6606 (multiplicity 1)
O 0.2014 0.6960 0.9732 (multiplicity 1)
O 0.2489 0.8908 0.4279 (multiplicity 1)
O 0.2722 0.1531 0.9264 (multiplicity 1)
O 0.3279 0.3901 0.4128 (multiplicity 1)
O 0.4810 0.7719 0.6655 (multiplicity 1)
O 0.5832 0.5592 0.2316 (multiplicity 1)
O 0.7185 0.7716 0.9996 (multiplicity 1)
O 0.7623 0.2640 0.9900 (multiplicity 1)
O 0.7730 0.9480 0.4723 (multiplicity 1)
O 0.8330 0.4562 0.4739 (multiplicity 1)
O 0.9637 0.0762 0.2212 (multiplicity 1)



Entry 6:
Structure and simulated powder X-ray diffraction pattern of Al5Fe3O12 (a cell relaxed with GGA+U; Cu Kα, 1.54184 Å).
Peak positions follow from Bragg's law for the DFT cell and can differ from measured ones.

Principal peaks in the range 5° ≤ 2θ ≤ 70°, low angle first:
Position (°2θ), d/Å, intensity, hkl
21.7, 4.099, 23, 1 1 -2
30.8, 2.905, 38, 2 0 4
30.9, 2.890, 58, 3 1 0
36.2, 2.480, 45, 2 0 -5
36.4, 2.470, 100, 0 2 3
36.5, 2.465, 20, 2 2 1
44.2, 2.049, 26, 4 0 -4
58.6, 1.576, 31, 6 0 -3
64.1, 1.453, 28, 2 2 -8
64.5, 1.445, 43, 0 4 0

Atomic structure:
a = 10.0123 Å, b = 5.7789 Å, c = 14.2739 Å
α = 90.00°, β = 90.11°, γ = 90.00°
Space group Cm (No. 8)
One atom of each set of equivalent atoms:
Al 0.0000 0.0000 0.0000 (multiplicity 2)
Al 0.0031 0.5000 0.5081 (multiplicity 2)
Al 0.0880 0.2519 0.8381 (multiplicity 4)
Al 0.1691 0.0000 0.1739 (multiplicity 2)
Al 0.1789 0.5000 0.6791 (multiplicity 2)
Al 0.2574 0.2467 0.5078 (multiplicity 4)
Al 0.4246 0.2551 0.1741 (multiplicity 4)
Fe 0.0095 0.0000 0.6327 (multiplicity 2)
Fe 0.1693 0.5000 0.0396 (multiplicity 2)
Fe 0.1734 0.5000 0.3024 (multiplicity 2)
Fe 0.3328 0.0000 0.7210 (multiplicity 2)
Fe 0.3393 0.0000 0.3529 (multiplicity 2)
Fe 0.3436 0.0000 0.9632 (multiplicity 2)
O 0.0054 0.0000 0.2333 (multiplicity 2)
O 0.0170 0.0000 0.7639 (multiplicity 2)
O 0.0190 0.5000 0.7616 (multiplicity 2)
O 0.0826 0.2246 0.0905 (multiplicity 4)
O 0.0986 0.2814 0.5880 (multiplicity 4)
O 0.1578 0.0000 0.9187 (multiplicity 2)
O 0.1608 0.5000 0.9118 (multiplicity 2)
O 0.1732 0.5000 0.4372 (multiplicity 2)
O 0.1885 0.0000 0.4391 (multiplicity 2)
O 0.2351 0.2629 0.7553 (multiplicity 4)
O 0.2615 0.2349 0.2459 (multiplicity 4)
O 0.3223 0.5000 0.5897 (multiplicity 2)
O 0.3392 0.0000 0.5869 (multiplicity 2)
O 0.3398 0.0000 0.1031 (multiplicity 2)
O 0.3535 0.5000 0.0885 (multiplicity 2)
O 0.4144 0.2254 0.4395 (multiplicity 4)
O 0.4420 0.2599 0.9260 (multiplicity 4)
O 0.4964 0.0000 0.2462 (multiplicity 2)



Entry 7:
Structure and simulated powder X-ray diffraction pattern of Ba8V7O22 (a cell relaxed with GGA+U; Cu Kα, 1.54184 Å).
Peak positions follow from Bragg's law for the DFT cell and can differ from measured ones.

Principal peaks in the range 5° ≤ 2θ ≤ 70°, low angle first:
Position (°2θ), d/Å, intensity, hkl
23.1, 3.842, 10, 1 0 10
27.6, 3.230, 85, 0 1 14
30.4, 2.944, 100, 1 1 0
38.5, 2.337, 12, 0 2 10
41.5, 2.176, 41, 2 0 14
47.0, 1.932, 18, 1 0 28
52.3, 1.750, 27, 1 2 14
53.9, 1.700, 19, 3 0 0
63.2, 1.472, 19, 2 2 0
66.0, 1.416, 14, 2 1 28

Atomic structure:
a = 5.8881 Å, b = 5.8881 Å, c = 58.4492 Å
α = 90.00°, β = 90.00°, γ = 120.00°
Space group R-3m (No. 166, hexagonal axes)
One atom of each set of equivalent atoms:
Ba 0.0000 0.0000 0.1057 (multiplicity 6)
Ba 0.0000 0.0000 0.1810 (multiplicity 6)
Ba 0.0000 0.0000 0.3192 (multiplicity 6)
Ba 0.0000 0.0000 0.3878 (multiplicity 6)
V 0.0000 0.0000 0.0000 (multiplicity 3)
V 0.0000 0.0000 0.0449 (multiplicity 6)
V 0.0000 0.0000 0.2560 (multiplicity 6)
V 0.0000 0.0000 0.4654 (multiplicity 6)
O 0.0000 0.0000 0.2264 (multiplicity 6)
O 0.0000 0.0000 0.4360 (multiplicity 6)
O 0.0076 0.5038 0.3998 (multiplicity 18)
O 0.0093 0.5047 0.1911 (multiplicity 18)
O 0.0285 0.5143 0.6883 (multiplicity 18)



Entry 8:
Structure and simulated powder X-ray diffraction pattern of YMg6CoO8 (a cell relaxed with GGA+U; Cu Kα, 1.54184 Å).
Peak positions follow from Bragg's law for the DFT cell and can differ from measured ones.

Principal peaks in the range 5° ≤ 2θ ≤ 70°, low angle first:
Position (°2θ), d/Å, intensity, hkl
19.9, 4.457, 20, 0 0 2
20.2, 4.394, 35, 1 0 0
28.5, 3.129, 30, 1 0 2
28.7, 3.107, 15, 1 1 0
35.2, 2.549, 47, 1 1 2
40.5, 2.229, 48, 0 0 4
41.1, 2.197, 100, 2 0 0
50.8, 1.798, 11, 2 1 2
59.0, 1.565, 55, 2 0 4
59.5, 1.553, 29, 2 2 0

Atomic structure:
a = 4.3939 Å, b = 4.3939 Å, c = 8.9148 Å
α = 90.00°, β = 90.00°, γ = 90.00°
Space group P4/mmm (No. 123)
One atom of each set of equivalent atoms:
Y 0.0000 0.0000 0.0000 (multiplicity 1)
Mg 0.0000 0.5000 0.2737 (multiplicity 4)
Mg 0.5000 0.5000 0.0000 (multiplicity 1)
Mg 0.5000 0.5000 0.5000 (multiplicity 1)
Co 0.0000 0.0000 0.5000 (multiplicity 1)
O 0.0000 0.0000 0.2491 (multiplicity 2)
O 0.0000 0.5000 0.0000 (multiplicity 2)
O 0.0000 0.5000 0.5000 (multiplicity 2)
O 0.5000 0.5000 0.2491 (multiplicity 2)



Entry 9:
Structure and simulated powder X-ray diffraction pattern of RbMgInMo2O8 (a cell relaxed with GGA+U; Cu Kα, 1.54184 Å).
Peak positions follow from Bragg's law for the DFT cell and can differ from measured ones.

Principal peaks in the range 5° ≤ 2θ ≤ 70°, low angle first:
Position (°2θ), d/Å, intensity, hkl
16.9, 5.256, 17, 1 0 0
20.2, 4.386, 99, 0 1 1
28.1, 3.173, 97, 1 0 2
29.4, 3.034, 100, 1 1 0
41.2, 2.193, 53, 0 2 2
47.2, 1.927, 18, 1 2 1
51.4, 1.777, 34, 2 1 2
52.2, 1.752, 19, 3 0 0
55.2, 1.664, 16, 1 1 4
61.1, 1.517, 18, 2 2 0

Atomic structure:
a = 6.0688 Å, b = 6.0688 Å, c = 7.9605 Å
α = 90.00°, β = 90.00°, γ = 120.00°
Space group P3m1 (No. 156)
One atom of each set of equivalent atoms:
Rb 0.0000 0.0000 0.0000 (multiplicity 1)
Mg 0.6667 0.3333 0.7190 (multiplicity 1)
In 0.0000 0.0000 0.4809 (multiplicity 1)
Mo 0.3333 0.6667 0.7859 (multiplicity 1)
Mo 0.6667 0.3333 0.1933 (multiplicity 1)
O 0.1700 0.3399 0.7096 (multiplicity 3)
O 0.3333 0.6667 0.0066 (multiplicity 1)
O 0.3529 0.1765 0.2773 (multiplicity 3)
O 0.6667 0.3333 0.9583 (multiplicity 1)